Entry 1:
Simulated XRD peak list
Compound: InPSe
Radiation: Cu Kα, 1.54184 Å
Structure: the GGA-PBE geometry in Alexandria
Peak positions follow from Bragg's law for the DFT cell and can differ from measured ones.

Atomic structure:
```
data_InPSe
_cell_length_a 3.9754
_cell_length_b 3.9754
_cell_length_c 4.8205
_cell_angle_alpha 90.00
_cell_angle_beta 90.00
_cell_angle_gamma 120.00
_symmetry_space_group_name_H-M 'P 3 m 1'
_symmetry_Int_Tables_number 156
loop_
_symmetry_equiv_pos_as_xyz
'x,y,z'
'-y,x-y,z'
'-x+y,-x,z'
'-y,-x,z'
'-x+y,y,z'
'x,x-y,z'
loop_
_atom_site_label
_atom_site_type_symbol
_atom_site_fract_x
_atom_site_fract_y
_atom_site_fract_z
In1 In 0.0000 0.0000 0.0000
P1 P 0.3333 0.6667 0.2912
Se1 Se 0.6667 0.3333 0.6443
```

Top 10 peaks for 5° ≤ 2θ ≤ 70°, sorted by position:
two_theta  I (rel.)
18.4  9.8
25.9  16.0
31.9  100.0
45.6  32.0
46.0  32.8
49.6  4.7
56.8  18.5
57.3  4.9
60.4  4.8
66.8  10.4


Entry 2:
Simulated XRD peak list
Compound: CuHgF
Radiation: Cu Kα, 1.54184 Å
Structure: the GGA-PBE geometry in Alexandria
Peak positions follow from Bragg's law for the DFT cell and can differ from measured ones.

Atomic structure:
```
data_CuHgF
_cell_length_a 3.2544
_cell_length_b 3.2544
_cell_length_c 5.3748
_cell_angle_alpha 90.00
_cell_angle_beta 90.00
_cell_angle_gamma 120.00
_symmetry_space_group_name_H-M 'P 3 m 1'
_symmetry_Int_Tables_number 156
loop_
_symmetry_equiv_pos_as_xyz
'x,y,z'
'-y,x-y,z'
'-x+y,-x,z'
'-y,-x,z'
'-x+y,y,z'
'x,x-y,z'
loop_
_atom_site_label
_atom_site_type_symbol
_atom_site_fract_x
_atom_site_fract_y
_atom_site_fract_z
Cu1 Cu 0.0000 0.0000 0.0000
Hg1 Hg 0.3333 0.6667 0.6430
F1 F 0.6667 0.3333 0.1979
```

Top 10 peaks for 5° ≤ 2θ ≤ 70°, sorted by position:
two_theta  I (rel.)
16.5  39.2
31.7  31.4
33.3  15.3
36.0  100.0
46.7  39.3
56.6  19.3
59.3  9.6
61.3  13.5
67.3  12.2
68.9  14.9